# PrCo12B6
Simulated powder diffractogram, Cu Kα (λ = 1.5418 Å). Input: a cell relaxed with PBE.
Kinematic intensities with the Lorentz-polarization factor, no thermal factor.

Structural model:
Cell lengths 9.4305, 9.4305, 7.4471 Å; angles 90.00, 90.00, 120.00 degrees
Space group R-3m (No. 166, hexagonal axes)
Inequivalent atoms, fractional coordinates:
Pr  0.0000  0.0000  0.0000
Co  0.0000  0.3667  0.5000
Co  0.0907  0.1814  0.3687
B  0.0394  0.5197  0.2885

Peak list (12 most intense, 5° ≤ 2θ ≤ 70°, in order of rising 2θ)
3.581 Å, 24.9°, I 9.1
2.852 Å, 31.4°, I 13.4
2.751 Å, 32.5°, I 39.9
2.722 Å, 32.9°, I 31.2
2.197 Å, 41.1°, I 56.5
2.167 Å, 41.7°, I 100.0
1.935 Å, 47.0°, I 22.4
1.834 Å, 49.7°, I 25.9
1.790 Å, 51.0°, I 8.6
1.572 Å, 58.7°, I 23.2
1.496 Å, 62.0°, I 17.2
1.448 Å, 64.3°, I 12.2

***

# NaAc2NpO6
Simulated powder diffractogram, Cu Kα (λ = 1.5418 Å). Input: a cell relaxed with PBE.
Kinematic intensities with the Lorentz-polarization factor, no thermal factor.

Structural model:
Cell lengths 6.1875, 6.1875, 15.2377 Å; angles 90.00, 90.00, 120.00 degrees
Space group R3 (No. 146, hexagonal axes)
Inequivalent atoms, fractional coordinates:
Na  0.0000  0.0000  0.0000
Ac  0.0000  0.0000  0.2279
Ac  0.0000  0.0000  0.7333
Np  0.0000  0.0000  0.5084
O  0.0275  0.7470  0.5981
O  0.0587  0.3340  0.1083

Peak list (12 most intense, 5° ≤ 2θ ≤ 70°, in order of rising 2θ)
5.062 Å, 17.5°, I 48.0
4.383 Å, 20.3°, I 25.1
3.105 Å, 28.8°, I 96.7
3.094 Å, 28.9°, I 100.0
2.644 Å, 33.9°, I 22.0
2.192 Å, 41.2°, I 44.0
1.963 Å, 46.2°, I 20.8
1.795 Å, 50.9°, I 15.7
1.787 Å, 51.1°, I 72.0
1.547 Å, 59.8°, I 14.6
1.388 Å, 67.5°, I 12.9
1.385 Å, 67.7°, I 17.6

***

# CaTa2Fe
Simulated powder diffractogram, Cu Kα (λ = 1.5418 Å). Input: a cell relaxed with PBE.
Kinematic intensities with the Lorentz-polarization factor, no thermal factor.

Structural model:
Cell lengths 3.077, 4.024, 6.753 Å; angles 90.00, 98.52, 90.00 degrees
Space group Pm (No. 6)
Inequivalent atoms, fractional coordinates:
Ca  0.000  0.000  0.000
Ta  0.402  0.500  0.654
Ta  0.854  0.000  0.454
Fe  0.450  0.500  0.315

Peak list (12 most intense, 5° ≤ 2θ ≤ 70°, in order of rising 2θ)
6.678 Å, 13.3°, I 100.0
3.446 Å, 25.9°, I 13.4
2.570 Å, 34.9°, I 41.9
2.436 Å, 36.9°, I 19.5
2.427 Å, 37.0°, I 50.7
2.373 Å, 37.9°, I 18.8
2.199 Å, 41.0°, I 12.9
2.099 Å, 43.1°, I 9.3
2.012 Å, 45.1°, I 15.8
1.948 Å, 46.6°, I 18.0
1.939 Å, 46.9°, I 9.2
1.551 Å, 59.6°, I 13.3

***

# RbHg6H3
Simulated powder diffractogram, Cu Kα (λ = 1.5418 Å). Input: a cell relaxed with PBE.
Kinematic intensities with the Lorentz-polarization factor, no thermal factor.

Structural model:
Cell lengths 8.421, 6.129, 11.068 Å; angles 90.00, 117.94, 90.00 degrees
Space group P2_1/c (No. 14)
Inequivalent atoms, fractional coordinates:
Rb  0.000  0.000  0.000
Hg  0.099  0.000  0.700
Hg  0.316  0.001  0.555
Hg  0.479  0.502  0.629
H  0.001  0.750  0.251
H  0.500  0.000  0.500

Peak list (12 most intense, 5° ≤ 2θ ≤ 70°, in order of rising 2θ)
4.864 Å, 18.2°, I 70.5
3.416 Å, 26.1°, I 39.4
3.159 Å, 28.2°, I 46.4
3.065 Å, 29.1°, I 100.0
2.804 Å, 31.9°, I 30.0
2.720 Å, 32.9°, I 71.8
2.706 Å, 33.1°, I 39.4
2.492 Å, 36.0°, I 34.1
2.374 Å, 37.9°, I 47.5
2.281 Å, 39.5°, I 26.8
2.028 Å, 44.7°, I 35.5
1.979 Å, 45.8°, I 27.3

***

# Cs2CrCuCl6
Simulated powder diffractogram, Cu Kα (λ = 1.5418 Å). Input: a cell relaxed with PBE.
Kinematic intensities with the Lorentz-polarization factor, no thermal factor.

Structural model:
Cell lengths 7.506, 8.900, 8.215 Å; angles 90.00, 90.00, 90.00 degrees
Space group Imm2 (No. 44)
Inequivalent atoms, fractional coordinates:
Cs  0.000  0.239  0.000
Cr  0.000  0.000  0.497
Cu  0.000  0.500  0.616
Cl  0.000  0.274  0.480
Cl  0.219  0.000  0.694
Cl  0.230  0.000  0.279

Peak list (12 most intense, 5° ≤ 2θ ≤ 70°, in order of rising 2θ)
4.107 Å, 21.6°, I 31.1
3.753 Å, 23.7°, I 32.8
3.470 Å, 25.7°, I 100.0
3.018 Å, 29.6°, I 59.7
2.869 Å, 31.2°, I 37.4
2.771 Å, 32.3°, I 76.4
2.226 Å, 40.5°, I 38.7
2.108 Å, 42.9°, I 21.1
1.735 Å, 52.8°, I 33.5
1.706 Å, 53.7°, I 15.7
1.670 Å, 55.0°, I 19.2
1.434 Å, 65.1°, I 17.5

***

# Hf5SnBi
Simulated powder diffractogram, Cu Kα (λ = 1.5418 Å). Input: a cell relaxed with PBE.
Kinematic intensities with the Lorentz-polarization factor, no thermal factor.

Structural model:
Cell lengths 15.200, 8.035, 5.631 Å; angles 90.00, 111.65, 90.00 degrees
Space group C2/c (No. 15)
Inequivalent atoms, fractional coordinates:
Hf  0.000  0.136  0.250
Hf  0.117  0.500  0.117
Hf  0.183  0.108  0.933
Sn  0.000  0.246  0.750
Bi  0.250  0.250  0.500

Peak list (12 most intense, 5° ≤ 2θ ≤ 70°, in order of rising 2θ)
2.815 Å, 31.8°, I 27.9
2.686 Å, 33.4°, I 94.9
2.666 Å, 33.6°, I 81.8
2.653 Å, 33.8°, I 93.3
2.632 Å, 34.1°, I 42.3
2.612 Å, 34.3°, I 92.2
2.314 Å, 38.9°, I 31.6
2.306 Å, 39.1°, I 50.2
2.288 Å, 39.4°, I 100.0
2.202 Å, 41.0°, I 72.8
1.600 Å, 57.6°, I 49.2
1.402 Å, 66.7°, I 30.4